(1)
Diffraction record for PrGe3Au2. The powder X-ray diffraction pattern is computed, not measured: it uses DFT lattice parameters and positions (PBE) and Cu Kα (weighted mean of Kα1 and Kα2).
Kinematic intensities with the Lorentz-polarization factor, no thermal factor.

Peak list (8 most intense, 10° ≤ 2θ ≤ 90°, by intensity)
d (Å)  2θ/deg  I/Imax  hkl
2.821  31.7  100  1 1 4
2.208  40.9  56  2 0 0
2.013  45.0  33  1 1 10
2.864  31.2  24  1 0 7
1.366  68.7  22  3 1 4
1.561  59.2  19  2 2 0
4.389  20.2  16  0 0 6
2.439  36.8  16  1 0 9

Structure:
Unit cell a=4.4161 b=4.4161 c=26.3342 alpha=90.00 beta=90.00 gamma=90.00
Space group I4/mmm (No. 139)
Asymmetric unit:
Pr 0.0000 0.0000 0.1501 x4
Ge 0.0000 0.0000 0.3048 x4
Ge 0.0000 0.5000 0.0478 x8
Au 0.0000 0.0000 0.4000 x4
Au 0.0000 0.5000 0.2500 x4



(2)
Diffraction record for Pr3OsBr3. The powder X-ray diffraction pattern is computed, not measured: it uses DFT lattice parameters and positions (PBE) and Cu Kα (weighted mean of Kα1 and Kα2).
Kinematic intensities with the Lorentz-polarization factor, no thermal factor.

Peak list (8 most intense, 10° ≤ 2θ ≤ 90°, by intensity)
d (Å)  2θ/deg  I/Imax  hkl
3.046  29.3  100  4 0 0
2.154  42.0  71  4 4 0
8.615  10.3  67  1 1 0
1.362  68.9  27  8 4 0
1.758  52.0  24  4 4 4
1.243  76.6  19  8 4 4
2.389  37.6  15  5 1 0
1.523  60.8  11  8 0 0

Structure:
Unit cell a=12.1828 b=12.1828 c=12.1828 alpha=90.00 beta=90.00 gamma=90.00
Space group I4_132 (No. 214)
Asymmetric unit:
Pr 0.1089 0.3589 0.1250 x24
Os 0.1250 0.1250 0.1250 x8
Br 0.1206 0.1294 0.6250 x24



(3)
Diffraction record for Ba3Si3N5ClO. The powder X-ray diffraction pattern is computed, not measured: it uses DFT lattice parameters and positions (PBE) and Cu Kα (weighted mean of Kα1 and Kα2).
Kinematic intensities with the Lorentz-polarization factor, no thermal factor.

Peak list (8 most intense, 10° ≤ 2θ ≤ 90°, by intensity)
d (Å)  2θ/deg  I/Imax  hkl
3.361  26.5  100  0 4 1
3.275  27.2  44  2 2 1
2.759  32.4  34  0 0 2
2.427  37.0  23  2 6 0
2.507  35.8  18  3 3 -1
2.772  32.3  16  2 4 -1
2.385  37.7  15  4 0 0
3.126  28.6  14  3 1 0

Structure:
Unit cell a=9.5482 b=16.9190 c=5.5221 alpha=90.00 beta=91.89 gamma=90.00
Space group Cc (No. 9)
Asymmetric unit:
Ba 0.0000 0.0767 0.0000 x4
Ba 0.1823 0.3117 0.0050 x4
Ba 0.4458 0.0983 0.0163 x4
Si 0.0379 0.2026 0.5156 x4
Si 0.2420 0.0615 0.5089 x4
Si 0.3494 0.2334 0.4982 x4
N 0.0742 0.1034 0.5012 x4
N 0.1787 0.2656 0.5003 x4
N 0.2595 0.0017 0.2560 x4
N 0.3762 0.1330 0.5216 x4
N 0.4370 0.2742 0.2596 x4
Cl 0.2213 0.4665 0.7576 x4
O 0.4316 0.2761 0.7571 x4



(4)
Diffraction record for SrSmCdHg. The powder X-ray diffraction pattern is computed, not measured: it uses DFT lattice parameters and positions (PBE) and Cu Kα (weighted mean of Kα1 and Kα2).
Kinematic intensities with the Lorentz-polarization factor, no thermal factor.

Peak list (8 most intense, 10° ≤ 2θ ≤ 90°, by intensity)
d (Å)  2θ/deg  I/Imax  hkl
2.767  32.4  100  1 1 0
1.598  57.7  35  2 1 2
7.810  11.3  13  0 0 1
1.959  46.4  13  2 0 0
1.238  77.0  11  3 1 0
1.383  67.8  6  2 0 4
2.168  41.7  6  1 0 3
1.953  46.5  5  0 0 4

Structure:
Unit cell a=3.9170 b=3.9170 c=7.8101 alpha=90.00 beta=90.00 gamma=90.00
Space group P4mm (No. 99)
Asymmetric unit:
Sr 0.0000 0.0000 0.0000 x1
Sm 0.0000 0.0000 0.4924 x1
Cd 0.5000 0.5000 0.7210 x1
Hg 0.5000 0.5000 0.2742 x1



(5)
Diffraction record for SmGeSe3. The powder X-ray diffraction pattern is computed, not measured: it uses DFT lattice parameters and positions (PBE) and Cu Kα (weighted mean of Kα1 and Kα2).
Kinematic intensities with the Lorentz-polarization factor, no thermal factor.

Peak list (8 most intense, 10° ≤ 2θ ≤ 90°, by intensity)
d (Å)  2θ/deg  I/Imax  hkl
2.806  31.9  100  2 1 2
2.840  31.5  62  1 1 3
2.496  36.0  53  2 2 1
3.021  29.6  51  1 2 1
1.914  47.5  35  0 3 3
5.108  17.4  33  0 0 2
2.689  33.3  31  1 2 2
2.033  44.6  30  2 1 4

Structure:
Unit cell a=7.6751 b=6.9418 c=10.2166 alpha=90.00 beta=90.00 gamma=90.00
Space group Pna2_1 (No. 33)
Asymmetric unit:
Sm 0.1166 0.0839 0.0000 x4
Ge 0.1771 0.5933 0.1377 x4
Se 0.1048 0.2736 0.5045 x4
Se 0.1516 0.7918 0.6872 x4
Se 0.1768 0.8187 0.3239 x4



(6)
Diffraction record for HoErTh2. The powder X-ray diffraction pattern is computed, not measured: it uses DFT lattice parameters and positions (PBE) and Cu Kα (weighted mean of Kα1 and Kα2).
Kinematic intensities with the Lorentz-polarization factor, no thermal factor.

Peak list (8 most intense, 10° ≤ 2θ ≤ 90°, by intensity)
d (Å)  2θ/deg  I/Imax  hkl
2.902  30.8  100  1 1 2
2.518  35.7  34  2 0 0
1.518  61.1  29  3 1 2
1.775  51.5  24  2 0 4
2.503  35.9  17  0 0 4
1.511  61.4  14  1 1 6
1.451  64.2  13  2 2 4
1.781  51.3  12  2 2 0

Structure:
Unit cell a=5.0411 b=5.0313 c=10.0111 alpha=90.00 beta=90.00 gamma=90.00
Space group Pmma (No. 51)
Asymmetric unit:
Ho 0.2500 0.0000 0.1272 x2
Er 0.2500 0.5000 0.8729 x2
Th 0.2500 0.0000 0.6243 x2
Th 0.2500 0.5000 0.3759 x2



(7)
Diffraction record for ErHBr. The powder X-ray diffraction pattern is computed, not measured: it uses DFT lattice parameters and positions (PBE) and Cu Kα (weighted mean of Kα1 and Kα2).
Kinematic intensities with the Lorentz-polarization factor, no thermal factor.

Peak list (8 most intense, 10° ≤ 2θ ≤ 90°, by intensity)
d (Å)  2θ/deg  I/Imax  hkl
3.510  25.4  100  0 1 1
2.962  30.2  100  1 0 2
2.534  35.4  58  1 1 1
2.065  43.8  49  1 1 3
1.583  58.3  31  1 2 2
2.520  35.6  22  0 0 4
1.623  56.7  21  2 1 1
2.476  36.3  19  1 0 3

Structure:
Unit cell a=3.6613 b=3.7448 c=10.0811 alpha=90.00 beta=90.00 gamma=90.00
Space group Pmmn (No. 59, origin choice 2)
Asymmetric unit:
Er 0.2500 0.2500 0.1223 x2
H 0.2500 0.7500 0.0071 x2
Br 0.2500 0.7500 0.6716 x2



(8)
Diffraction record for Nd2Rh2O7. The powder X-ray diffraction pattern is computed, not measured: it uses DFT lattice parameters and positions (PBE) and Cu Kα (weighted mean of Kα1 and Kα2).
Kinematic intensities with the Lorentz-polarization factor, no thermal factor.

Peak list (8 most intense, 10° ≤ 2θ ≤ 90°, by intensity)
d (Å)  2θ/deg  I/Imax  hkl
3.015  29.6  100  2 2 2
1.847  49.4  47  4 4 0
1.575  58.6  43  6 2 2
2.611  34.3  32  4 0 0
1.198  80.1  17  6 6 2
1.168  82.6  14  8 4 0
1.508  61.5  10  4 4 4
1.306  72.4  7  8 0 0

Structure:
Unit cell a=10.4459 b=10.4459 c=10.4459 alpha=90.00 beta=90.00 gamma=90.00
Space group Fd-3m (No. 227, origin choice 2)
Asymmetric unit:
Nd 0.0000 0.0000 0.0000 x16
Rh 0.0000 0.0000 0.5000 x16
O 0.0819 0.3750 0.8750 x48
O 0.1250 0.1250 0.1250 x8



(9)
Diffraction record for KBi3Au3. The powder X-ray diffraction pattern is computed, not measured: it uses DFT lattice parameters and positions (PBE) and Cu Kα (weighted mean of Kα1 and Kα2).
Kinematic intensities with the Lorentz-polarization factor, no thermal factor.

Peak list (8 most intense, 10° ≤ 2θ ≤ 90°, by intensity)
d (Å)  2θ/deg  I/Imax  hkl
2.714  33.0  100  2 0 5
2.948  30.3  79  0 2 4
6.949  12.7  77  0 0 3
2.064  43.9  48  2 2 0
6.763  13.1  39  1 0 1
2.399  37.5  37  2 1 4
2.268  39.7  36  1 2 5
2.288  39.4  27  0 2 7

Structure:
Unit cell a=8.2563 b=8.2563 c=20.8459 alpha=90.00 beta=90.00 gamma=120.00
Space group R-3m (No. 166, hexagonal axes)
Asymmetric unit:
K 0.0000 0.0000 0.0957 x6
Bi 0.0024 0.5012 0.0943 x18
Au 0.0751 0.5376 0.3330 x18



(10)
Diffraction record for YBi2PdO6. The powder X-ray diffraction pattern is computed, not measured: it uses DFT lattice parameters and positions (PBE) and Cu Kα (weighted mean of Kα1 and Kα2).
Kinematic intensities with the Lorentz-polarization factor, no thermal factor.

Peak list (8 most intense, 10° ≤ 2θ ≤ 90°, by intensity)
d (Å)  2θ/deg  I/Imax  hkl
3.028  29.5  100  1 -1 1
2.994  29.8  98  1 1 -2
3.056  29.2  48  1 1 0
2.855  31.3  46  2 0 -1
4.132  21.5  44  1 -1 0
4.446  20.0  29  0 0 1
2.223  40.6  23  0 0 2
1.744  52.5  22  2 0 -3

Structure:
Unit cell a=5.7105 b=5.9883 c=6.0082 alpha=118.99 beta=117.73 gamma=90.12
Space group P1 (No. 1)
Asymmetric unit:
Y 0.0000 0.0000 0.0000 x1
Bi 0.2709 0.8360 0.5562 x1
Bi 0.7938 0.3531 0.5714 x1
Pd 0.4875 0.4626 0.9621 x1
O 0.1318 0.1661 0.4731 x1
O 0.1923 0.6546 0.0115 x1
O 0.3516 0.1796 0.0138 x1
O 0.6242 0.6808 0.8362 x1
O 0.7163 0.2154 0.8520 x1
O 0.8649 0.6891 0.4982 x1



(11)
Diffraction record for SnHgP2. The powder X-ray diffraction pattern is computed, not measured: it uses DFT lattice parameters and positions (PBE) and Cu Kα (weighted mean of Kα1 and Kα2).
Kinematic intensities with the Lorentz-polarization factor, no thermal factor.

Peak list (8 most intense, 10° ≤ 2θ ≤ 90°, by intensity)
d (Å)  2θ/deg  I/Imax  hkl
3.351  26.6  100  0 1 2
2.978  30.0  46  1 0 4
2.195  41.1  37  0 1 8
2.027  44.7  33  1 1 0
3.750  23.7  31  0 0 6
1.894  48.0  26  1 0 10
1.783  51.2  25  1 1 6
3.468  25.7  16  1 0 1

Structure:
Unit cell a=4.0531 b=4.0531 c=22.5020 alpha=90.00 beta=90.00 gamma=120.00
Space group R-3m (No. 166, hexagonal axes)
Asymmetric unit:
Sn 0.0000 0.0000 0.0000 x3
Hg 0.0000 0.0000 0.5000 x3
P 0.0000 0.0000 0.3925 x6



(12)
Diffraction record for CaPm2ThP4. The powder X-ray diffraction pattern is computed, not measured: it uses DFT lattice parameters and positions (PBE) and Cu Kα (weighted mean of Kα1 and Kα2).
Kinematic intensities with the Lorentz-polarization factor, no thermal factor.

Peak list (8 most intense, 10° ≤ 2θ ≤ 90°, by intensity)
d (Å)  2θ/deg  I/Imax  hkl
2.937  30.4  100  1 1 1
3.389  26.3  86  0 0 2
2.076  43.6  74  2 0 2
2.922  30.6  49  2 0 -2
2.067  43.8  36  3 1 -1
1.695  54.1  29  0 0 4
1.771  51.6  29  2 2 0
3.374  26.4  28  2 0 0

Structure:
Unit cell a=7.1476 b=4.1575 c=7.1859 alpha=90.00 beta=109.24 gamma=90.00
Space group P2/m (No. 10)
Asymmetric unit:
Ca 0.0000 0.0000 0.0000 x1
Pm 0.0000 0.5000 0.5000 x1
Pm 0.5000 0.0000 0.5000 x1
Th 0.5000 0.5000 0.0000 x1
P 0.2533 0.0000 0.7512 x2
P 0.2559 0.5000 0.2511 x2



(13)
Diffraction record for Y4Ho7Tl. The powder X-ray diffraction pattern is computed, not measured: it uses DFT lattice parameters and positions (PBE) and Cu Kα (weighted mean of Kα1 and Kα2).
Kinematic intensities with the Lorentz-polarization factor, no thermal factor.

Peak list (8 most intense, 10° ≤ 2θ ≤ 90°, by intensity)
d (Å)  2θ/deg  I/Imax  hkl
2.892  30.9  100  1 0 4
2.494  36.0  66  0 1 8
2.841  31.5  29  0 0 12
1.506  61.6  26  1 1 12
1.775  51.5  24  1 1 0
1.752  52.2  21  1 0 16
1.513  61.3  14  0 2 4
1.446  64.4  12  2 0 8

Structure:
Unit cell a=3.5504 b=3.5504 c=34.0955 alpha=90.00 beta=90.00 gamma=120.00
Space group P-3m1 (No. 164)
Asymmetric unit:
Y 0.3333 0.6667 0.1616 x2
Y 0.3333 0.6667 0.4151 x2
Ho 0.0000 0.0000 0.2465 x2
Ho 0.0000 0.0000 0.5000 x1
Ho 0.3333 0.6667 0.6696 x2
Ho 0.3333 0.6667 0.9228 x2
Tl 0.0000 0.0000 0.0000 x1